[1]
Diffraction record for TmAgBr4. The powder XRD pattern is computed, not measured: it uses a crystal structure in Alexandria, relaxed with PBE and Cu Kα (λ = 1.5418 Å).
Intensities are scaled so that the largest is 100.

Structure:
Cell lengths 8.1324, 8.1324, 7.3894 Å; angles 116.92, 116.92, 29.14 degrees
Element x y z (fractional)
Tm: 0.0000 0.0000 0.0000
Ag: 0.5000 0.5000 0.5000
Br: 0.1021 0.1021 0.4212
Br: 0.3794 0.3794 0.0077
Br: 0.6206 0.6206 0.9923
Br: 0.8979 0.8979 0.5788

Peak list (12 most intense, 10 to 90 degrees two-theta, low angle first)
d (Å)	I (rel.)
6.957	100
3.266	43
3.182	75
2.534	22
2.494	61
2.110	28
2.046	15
2.019	18
1.963	21
1.947	23
1.734	13
1.592	11

=====

[2]
Diffraction record for TmAgBr4. The powder XRD pattern is computed, not measured: it uses a crystal structure in Alexandria, relaxed with PBE and Cu Kα (λ = 1.5418 Å).
Intensities are scaled so that the largest is 100.

Structure:
Cell lengths 10.3754, 10.3754, 6.9366 Å; angles 105.04, 105.04, 130.72 degrees
Element x y z (fractional)
Tm: 0.1855 0.8145 0.7500
Tm: 0.8145 0.1855 0.2500
Ag: 0.3813 0.6187 0.2500
Ag: 0.6187 0.3813 0.7500
Br: 0.0703 0.4813 0.7579
Br: 0.1143 0.2772 0.2112
Br: 0.2772 0.1143 0.7112
Br: 0.4813 0.0703 0.2579
Br: 0.5187 0.9297 0.7421
Br: 0.7228 0.8857 0.2888
Br: 0.8857 0.7228 0.7888
Br: 0.9297 0.5187 0.2421

Peak list (12 most intense, 10 to 90 degrees two-theta, low angle first)
d (Å)	I (rel.)
6.365	25
4.706	100
4.605	27
3.932	27
3.293	26
3.187	81
2.715	56
2.547	20
2.502	34
2.241	26
2.066	25
1.937	32

=====

[3]
Diffraction record for UAg2Br6. The powder XRD pattern is computed, not measured: it uses a crystal structure in Alexandria, relaxed with PBE and Cu Kα (λ = 1.5418 Å).
Intensities are scaled so that the largest is 100.

Structure:
Cell lengths 7.7957, 7.7957, 7.7957 Å; angles 55.03, 55.03, 55.03 degrees
Element x y z (fractional)
U: 0.0000 0.0000 0.0000
Ag: 0.1823 0.1823 0.1823
Ag: 0.8177 0.8177 0.8177
Br: 0.0910 0.3934 0.7662
Br: 0.2338 0.9090 0.6066
Br: 0.3934 0.7662 0.0910
Br: 0.6066 0.2338 0.9090
Br: 0.7662 0.0910 0.3934
Br: 0.9090 0.6066 0.2338

Peak list (12 most intense, 10 to 90 degrees two-theta, low angle first)
d (Å)	I (rel.)
5.949	100
3.341	33
3.161	67
2.449	20
2.432	79
2.341	16
2.079	49
2.025	21
1.876	15
1.580	20
1.292	15
1.258	18

=====

[4]
Diffraction record for UAgBr5. The powder XRD pattern is computed, not measured: it uses a crystal structure in Alexandria, relaxed with PBE and Cu Kα (λ = 1.5418 Å).
Intensities are scaled so that the largest is 100.

Structure:
Cell lengths 8.3574, 8.3574, 10.7454 Å; angles 107.76, 107.76, 51.85 degrees
Element x y z (fractional)
U: 0.0000 0.0000 0.0000
U: 0.0000 0.0000 0.5000
Ag: 0.3182 0.6818 0.7500
Ag: 0.6818 0.3182 0.2500
Br: 0.0296 0.6535 0.8657
Br: 0.1599 0.8401 0.2500
Br: 0.1869 0.5849 0.5104
Br: 0.3465 0.9704 0.6343
Br: 0.4151 0.8131 0.9896
Br: 0.5849 0.1869 0.0104
Br: 0.6535 0.0296 0.3657
Br: 0.8131 0.4151 0.4896
Br: 0.8401 0.1599 0.7500
Br: 0.9704 0.3465 0.1343

Peak list (12 most intense, 10 to 90 degrees two-theta, low angle first)
d (Å)	I (rel.)
7.071	100
6.492	55
4.328	27
3.665	27
3.242	36
2.556	20
2.541	14
2.530	45
2.494	17
2.121	17
2.053	16
1.768	16

=====

[5]
Diffraction record for ZnAg3Br6. The powder XRD pattern is computed, not measured: it uses a crystal structure in Alexandria, relaxed with PBE and Cu Kα (λ = 1.5418 Å).
Intensities are scaled so that the largest is 100.

Structure:
Cell lengths 9.8049, 9.8049, 7.0844 Å; angles 100.72, 100.72, 104.64 degrees
Element x y z (fractional)
Zn: 0.2117 0.7883 0.5000
Zn: 0.7883 0.2117 0.0000
Ag: 0.1051 0.2345 0.4439
Ag: 0.2345 0.1051 0.9439
Ag: 0.3561 0.5937 0.1311
Ag: 0.5937 0.3561 0.6311
Ag: 0.6516 0.8061 0.6658
Ag: 0.8061 0.6516 0.1658
Br: 0.0308 0.8855 0.3364
Br: 0.1620 0.5281 0.3409
Br: 0.2139 0.3478 0.8494
Br: 0.2161 0.8279 0.8473
Br: 0.3478 0.2139 0.3494
Br: 0.4442 0.8587 0.3928
Br: 0.5281 0.1620 0.8409
Br: 0.5567 0.6562 0.9290
Br: 0.6562 0.5567 0.4290
Br: 0.8279 0.2161 0.3473
Br: 0.8587 0.4442 0.8928
Br: 0.8855 0.0308 0.8364

Peak list (12 most intense, 10 to 90 degrees two-theta, low angle first)
d (Å)	I (rel.)
6.216	26
4.599	33
4.325	84
3.654	59
3.453	30
3.366	100
3.091	25
2.607	29
2.565	48
2.191	27
1.939	23
1.934	23

=====

[6]
Diffraction record for ZrAg3Br8. The powder XRD pattern is computed, not measured: it uses a crystal structure in Alexandria, relaxed with PBE and Cu Kα (λ = 1.5418 Å).
Intensities are scaled so that the largest is 100.

Structure:
Cell lengths 8.1747, 8.1747, 8.1893 Å; angles 119.27, 119.27, 60.96 degrees
Element x y z (fractional)
Zr: 0.0000 0.0000 0.0000
Ag: 0.0000 0.5000 0.5000
Ag: 0.5000 0.0000 0.5000
Ag: 0.5000 0.5000 0.0000
Br: 0.2190 0.7722 0.2296
Br: 0.2278 0.7810 0.7704
Br: 0.2292 0.2292 0.2167
Br: 0.2721 0.2721 0.7263
Br: 0.7279 0.7279 0.2737
Br: 0.7708 0.7708 0.7833
Br: 0.7722 0.2190 0.2296
Br: 0.7810 0.2278 0.7704

Peak list (12 most intense, 10 to 90 degrees two-theta, low angle first)
d (Å)	I (rel.)
6.638	97
3.528	37
2.913	100
2.901	50
2.231	18
2.073	18
2.068	35
2.045	46
1.974	16
1.686	25
1.309	12
1.296	9

=====

[7]
Diffraction record for Ag3C4. The powder XRD pattern is computed, not measured: it uses a crystal structure in Alexandria, relaxed with PBE and Cu Kα (λ = 1.5418 Å).
Intensities are scaled so that the largest is 100.

Structure:
Cell lengths 6.4582, 6.4582, 2.6286 Å; angles 90.00, 90.00, 120.00 degrees
Element x y z (fractional)
Ag: 0.0000 0.5000 0.0000
Ag: 0.5000 0.0000 0.0000
Ag: 0.5000 0.5000 0.0000
C: 0.0000 0.0000 0.2508
C: 0.0000 0.0000 0.7492
C: 0.3333 0.6667 0.5000
C: 0.6667 0.3333 0.5000

Peak list (12 most intense, 10 to 90 degrees two-theta, low angle first)
d (Å)	I (rel.)
5.593	45
2.796	100
2.629	23
2.379	11
2.114	8
2.039	11
1.915	63
1.615	20
1.398	11
1.376	17
1.234	14
1.189	10

=====

[8]
Diffraction record for Ag3C2. The powder XRD pattern is computed, not measured: it uses a crystal structure in Alexandria, relaxed with PBE and Cu Kα (λ = 1.5418 Å).
Intensities are scaled so that the largest is 100.

Structure:
Cell lengths 7.8811, 7.8811, 7.8811 Å; angles 23.82, 23.82, 23.82 degrees
Element x y z (fractional)
Ag: 0.0000 0.0000 0.0000
Ag: 0.2157 0.2157 0.2157
Ag: 0.7843 0.7843 0.7843
C: 0.3917 0.3917 0.3917
C: 0.6083 0.6083 0.6083

Peak list (12 most intense, 10 to 90 degrees two-theta, low angle first)
d (Å)	I (rel.)
2.796	29
2.736	10
2.551	33
2.529	61
2.401	100
1.780	23
1.627	33
1.497	8
1.417	16
1.372	27
1.368	8
1.347	14

=====

[9]
Diffraction record for Ag5C7. The powder XRD pattern is computed, not measured: it uses a crystal structure in Alexandria, relaxed with PBE and Cu Kα (λ = 1.5418 Å).
Intensities are scaled so that the largest is 100.

Structure:
Cell lengths 6.3797, 6.3797, 6.3797 Å; angles 97.36, 97.36, 138.05 degrees
Element x y z (fractional)
Ag: 0.0000 0.0000 0.0000
Ag: 0.3148 0.3148 0.6344
Ag: 0.3148 0.6804 0.0000
Ag: 0.6804 0.3148 0.0000
Ag: 0.6804 0.6804 0.3656
C: 0.1158 0.4974 0.6185
C: 0.2473 0.7473 0.5000
C: 0.4974 0.1158 0.6185
C: 0.4974 0.8789 0.3815
C: 0.5014 0.5014 0.0000
C: 0.7473 0.2473 0.5000
C: 0.8789 0.4974 0.3815

Peak list (12 most intense, 10 to 90 degrees two-theta, low angle first)
d (Å)	I (rel.)
5.957	37
2.978	45
2.906	79
2.392	100
2.284	31
2.080	20
1.986	32
1.812	16
1.498	29
1.480	20
1.338	25
1.211	17

=====

[10]
Diffraction record for Ag4C23. The powder XRD pattern is computed, not measured: it uses a crystal structure in Alexandria, relaxed with PBE and Cu Kα (λ = 1.5418 Å).
Intensities are scaled so that the largest is 100.

Structure:
Cell lengths 6.9081, 6.9081, 10.8700 Å; angles 90.00, 90.00, 90.00 degrees
Element x y z (fractional)
Ag: 0.0000 0.0000 0.2500
Ag: 0.0000 0.0000 0.7500
Ag: 0.0000 0.5000 0.0000
Ag: 0.3087 0.5000 0.5000
Ag: 0.5000 0.0000 0.5000
Ag: 0.5000 0.3087 0.0000
Ag: 0.5000 0.6913 0.0000
Ag: 0.6913 0.5000 0.5000
C: 0.0000 0.2236 0.5000
C: 0.0000 0.2917 0.3474
C: 0.0000 0.2917 0.6526
C: 0.0000 0.7083 0.3474
C: 0.0000 0.7083 0.6526
C: 0.0000 0.7764 0.5000
C: 0.0933 0.1776 0.0000
C: 0.0933 0.8224 0.0000
C: 0.1776 0.0933 0.5000
C: 0.1776 0.9067 0.5000
C: 0.1954 0.3169 0.2873
C: 0.1954 0.3169 0.7127
C: 0.1954 0.6831 0.2873
C: 0.1954 0.6831 0.7127
C: 0.2236 0.0000 0.0000
C: 0.2917 0.0000 0.1526
C: 0.2917 0.0000 0.8474
C: 0.2965 0.5000 0.3069
C: 0.2965 0.5000 0.6931
C: 0.3169 0.1954 0.2127
C: 0.3169 0.1954 0.7873
C: 0.3169 0.8046 0.2127
C: 0.3169 0.8046 0.7873
C: 0.5000 0.2965 0.1931
C: 0.5000 0.2965 0.8069
C: 0.5000 0.5000 0.2500
C: 0.5000 0.5000 0.7500
C: 0.5000 0.7035 0.1931
C: 0.5000 0.7035 0.8069
C: 0.6831 0.1954 0.2127
C: 0.6831 0.1954 0.7873
C: 0.6831 0.8046 0.2127
C: 0.6831 0.8046 0.7873
C: 0.7035 0.5000 0.3069
C: 0.7035 0.5000 0.6931
C: 0.7083 0.0000 0.1526
C: 0.7083 0.0000 0.8474
C: 0.7764 0.0000 0.0000
C: 0.8046 0.3169 0.2873
C: 0.8046 0.3169 0.7127
C: 0.8046 0.6831 0.2873
C: 0.8046 0.6831 0.7127
C: 0.8224 0.0933 0.5000
C: 0.8224 0.9067 0.5000
C: 0.9067 0.1776 0.0000
C: 0.9067 0.8224 0.0000

Peak list (12 most intense, 10 to 90 degrees two-theta, low angle first)
d (Å)	I (rel.)
4.271	65
3.633	21
3.454	23
3.292	35
2.972	100
2.717	45
2.500	18
2.351	28
2.142	16
2.027	55
1.916	17
1.778	24

=====

[11]
Diffraction record for AgC5. The powder XRD pattern is computed, not measured: it uses a crystal structure in Alexandria, relaxed with PBE and Cu Kα (λ = 1.5418 Å).
Intensities are scaled so that the largest is 100.

Structure:
Cell lengths 3.7392, 3.7392, 7.4615 Å; angles 103.24, 103.24, 38.84 degrees
Element x y z (fractional)
Ag: 0.0000 0.0000 0.0000
C: 0.0908 0.0908 0.3777
C: 0.1429 0.1429 0.5883
C: 0.3581 0.3581 0.6543
C: 0.5666 0.5666 0.2828
C: 0.9622 0.9622 0.6556

Peak list (12 most intense, 10 to 90 degrees two-theta, low angle first)
d (Å)	I (rel.)
7.238	89
3.619	33
3.426	100
2.856	13
2.413	24
2.337	31
2.280	16
2.245	13
2.230	13
2.172	20
2.042	23
1.893	14

=====

[12]
Diffraction record for Ag5C4. The powder XRD pattern is computed, not measured: it uses a crystal structure in Alexandria, relaxed with PBE and Cu Kα (λ = 1.5418 Å).
Intensities are scaled so that the largest is 100.

Structure:
Cell lengths 6.1991, 6.1991, 6.1991 Å; angles 112.98, 112.98, 102.65 degrees
Element x y z (fractional)
Ag: 0.0000 0.0000 0.0000
Ag: 0.2957 0.2957 0.5914
Ag: 0.2957 0.7043 0.0000
Ag: 0.7043 0.2957 0.0000
Ag: 0.7043 0.7043 0.4086
C: 0.0000 0.4067 0.4067
C: 0.0000 0.5933 0.5933
C: 0.4067 0.0000 0.4067
C: 0.5933 0.0000 0.5933

Peak list (12 most intense, 10 to 90 degrees two-theta, low angle first)
d (Å)	I (rel.)
3.874	100
3.422	21
2.847	42
2.565	20
2.420	30
2.189	51
2.052	36
1.974	14
1.937	14
1.710	27
1.254	18
1.140	14

=====

Which formula does entry 12 have? Ag5C4